Mg6CrBO8: theoretical powder X-ray diffraction pattern (Cu Kα (weighted mean of Kα1 and Kα2)), based on a cell relaxed with GGA+U.
Peak positions follow from Bragg's law for the DFT cell and can differ from measured ones.

Cell and atoms:
```
data_Mg6CrBO8
_symmetry_space_group_name_H-M 'P 1'
_symmetry_Int_Tables_number 1
_cell_length_a 4.252
_cell_length_b 4.252
_cell_length_c 8.538
_cell_angle_alpha 90.00
_cell_angle_beta 90.00
_cell_angle_gamma 90.00
loop_
_symmetry_equiv_pos_as_xyz
'x,y,z'
loop_
_atom_site_label
_atom_site_type_symbol
_atom_site_fract_x
_atom_site_fract_y
_atom_site_fract_z
Mg1 Mg 0.000 0.000 0.000
Mg2 Mg 0.000 0.500 0.253
Mg3 Mg 0.000 0.500 0.747
Mg4 Mg 0.500 0.000 0.253
Mg5 Mg 0.500 0.000 0.747
Mg6 Mg 0.500 0.500 0.000
Cr1 Cr 0.000 0.000 0.500
B1 B 0.500 0.500 0.500
O1 O 0.000 0.000 0.255
O2 O 0.000 0.000 0.745
O3 O 0.000 0.500 0.000
O4 O 0.000 0.500 0.500
O5 O 0.500 0.000 0.000
O6 O 0.500 0.000 0.500
O7 O 0.500 0.500 0.244
O8 O 0.500 0.500 0.756
```

Top 10 peaks for 2θ from 5° to 70°, in order of falling intensity:
2θ 42.52, rel. 100.0
2θ 61.57, rel. 55.5
2θ 42.35, rel. 50.4
2θ 61.70, rel. 27.7
2θ 23.37, rel. 19.7
2θ 36.55, rel. 18.9
2θ 20.89, rel. 12.1
2θ 29.66, rel. 10.2
2θ 49.08, rel. 5.0
2θ 38.05, rel. 3.7


Mg6CrBO8: theoretical powder X-ray diffraction pattern (Cu Kα (weighted mean of Kα1 and Kα2)), based on a cell relaxed with GGA+U.
Peak positions follow from Bragg's law for the DFT cell and can differ from measured ones.

Cell and atoms:
```
data_Mg6CrBO8
_symmetry_space_group_name_H-M 'P 1'
_symmetry_Int_Tables_number 1
_cell_length_a 4.371
_cell_length_b 4.371
_cell_length_c 8.274
_cell_angle_alpha 90.00
_cell_angle_beta 90.00
_cell_angle_gamma 90.00
loop_
_symmetry_equiv_pos_as_xyz
'x,y,z'
loop_
_atom_site_label
_atom_site_type_symbol
_atom_site_fract_x
_atom_site_fract_y
_atom_site_fract_z
Mg1 Mg 0.000 0.000 0.000
Mg2 Mg 0.000 0.000 0.500
Mg3 Mg 0.000 0.500 0.240
Mg4 Mg 0.000 0.500 0.760
Mg5 Mg 0.500 0.000 0.240
Mg6 Mg 0.500 0.000 0.760
Cr1 Cr 0.500 0.500 0.500
B1 B 0.500 0.500 0.000
O1 O 0.000 0.000 0.250
O2 O 0.000 0.000 0.750
O3 O 0.000 0.500 0.000
O4 O 0.000 0.500 0.500
O5 O 0.500 0.000 0.000
O6 O 0.500 0.000 0.500
O7 O 0.500 0.500 0.170
O8 O 0.500 0.500 0.830
```

Top 10 peaks for 2θ from 5° to 70°, in order of falling intensity:
2θ 41.31, rel. 100.0
2θ 61.75, rel. 38.1
2θ 43.76, rel. 30.7
2θ 59.85, rel. 28.5
2θ 36.28, rel. 24.0
2θ 38.60, rel. 12.7
2θ 32.46, rel. 8.2
2θ 53.50, rel. 6.7
2θ 23.01, rel. 6.5
2θ 57.82, rel. 6.3


Na3CrB2O6: theoretical powder X-ray diffraction pattern (Cu Kα (weighted mean of Kα1 and Kα2)), based on a cell relaxed with GGA+U.
Peak positions follow from Bragg's law for the DFT cell and can differ from measured ones.

Cell and atoms:
```
data_Na3CrB2O6
_symmetry_space_group_name_H-M 'P 1'
_symmetry_Int_Tables_number 1
_cell_length_a 5.524
_cell_length_b 9.214
_cell_length_c 11.419
_cell_angle_alpha 90.00
_cell_angle_beta 114.49
_cell_angle_gamma 90.00
loop_
_symmetry_equiv_pos_as_xyz
'x,y,z'
loop_
_atom_site_label
_atom_site_type_symbol
_atom_site_fract_x
_atom_site_fract_y
_atom_site_fract_z
Na1 Na 0.007 0.061 0.136
Na2 Na 0.007 0.439 0.636
Na3 Na 0.054 0.631 0.875
Na4 Na 0.054 0.869 0.375
Na5 Na 0.443 0.044 0.623
Na6 Na 0.443 0.456 0.123
Na7 Na 0.557 0.544 0.877
Na8 Na 0.557 0.956 0.377
Na9 Na 0.946 0.131 0.625
Na10 Na 0.946 0.369 0.125
Na11 Na 0.993 0.561 0.364
Na12 Na 0.993 0.939 0.864
Cr1 Cr 0.472 0.215 0.877
Cr2 Cr 0.472 0.285 0.377
Cr3 Cr 0.528 0.715 0.623
Cr4 Cr 0.528 0.785 0.123
B1 B 0.043 0.203 0.383
B2 B 0.043 0.297 0.883
B3 B 0.470 0.135 0.136
B4 B 0.470 0.365 0.636
B5 B 0.530 0.635 0.364
B6 B 0.530 0.865 0.864
B7 B 0.957 0.703 0.117
B8 B 0.957 0.797 0.617
O1 O 0.098 0.162 0.847
O2 O 0.098 0.338 0.347
O3 O 0.177 0.671 0.094
O4 O 0.177 0.829 0.594
O5 O 0.242 0.101 0.396
O6 O 0.242 0.399 0.896
O7 O 0.344 0.236 0.185
O8 O 0.344 0.264 0.685
O9 O 0.384 0.688 0.429
O10 O 0.384 0.812 0.929
O11 O 0.430 0.510 0.653
O12 O 0.430 0.990 0.153
O13 O 0.570 0.010 0.847
O14 O 0.570 0.490 0.347
O15 O 0.616 0.188 0.071
O16 O 0.616 0.312 0.571
O17 O 0.656 0.736 0.315
O18 O 0.656 0.764 0.815
O19 O 0.758 0.601 0.104
O20 O 0.758 0.899 0.604
O21 O 0.823 0.171 0.406
O22 O 0.823 0.329 0.906
O23 O 0.902 0.662 0.653
O24 O 0.902 0.838 0.153
```

Top 10 peaks for 2θ from 5° to 70°, in order of falling intensity:
2θ 34.52, rel. 100.0
2θ 44.17, rel. 36.5
2θ 21.14, rel. 34.0
2θ 33.40, rel. 32.2
2θ 33.91, rel. 29.6
2θ 17.64, rel. 28.0
2θ 35.72, rel. 27.8
2θ 19.62, rel. 27.2
2θ 19.27, rel. 24.8
2θ 43.20, rel. 19.8


Na6Cr2B4PO16: theoretical powder X-ray diffraction pattern (Cu Kα (weighted mean of Kα1 and Kα2)), based on a cell relaxed with GGA+U.
Peak positions follow from Bragg's law for the DFT cell and can differ from measured ones.

Cell and atoms:
```
data_Na6Cr2B4PO16
_symmetry_space_group_name_H-M 'P 1'
_symmetry_Int_Tables_number 1
_cell_length_a 9.908
_cell_length_b 9.908
_cell_length_c 9.908
_cell_angle_alpha 60.00
_cell_angle_beta 60.00
_cell_angle_gamma 60.00
loop_
_symmetry_equiv_pos_as_xyz
'x,y,z'
loop_
_atom_site_label
_atom_site_type_symbol
_atom_site_fract_x
_atom_site_fract_y
_atom_site_fract_z
Na1 Na 0.088 0.088 0.662
Na2 Na 0.088 0.662 0.088
Na3 Na 0.088 0.662 0.662
Na4 Na 0.338 0.338 0.912
Na5 Na 0.338 0.912 0.338
Na6 Na 0.338 0.912 0.912
Na7 Na 0.662 0.088 0.088
Na8 Na 0.662 0.088 0.662
Na9 Na 0.662 0.662 0.088
Na10 Na 0.912 0.338 0.338
Na11 Na 0.912 0.338 0.912
Na12 Na 0.912 0.912 0.338
Cr1 Cr 0.000 0.500 0.500
Cr2 Cr 0.500 0.000 0.500
Cr3 Cr 0.500 0.500 0.000
Cr4 Cr 0.500 0.500 0.500
B1 B 0.289 0.289 0.289
B2 B 0.289 0.289 0.633
B3 B 0.289 0.633 0.289
B4 B 0.367 0.711 0.711
B5 B 0.633 0.289 0.289
B6 B 0.711 0.367 0.711
B7 B 0.711 0.711 0.367
B8 B 0.711 0.711 0.711
P1 P 0.125 0.125 0.125
P2 P 0.875 0.875 0.875
O1 O 0.061 0.061 0.061
O2 O 0.061 0.061 0.317
O3 O 0.061 0.317 0.061
O4 O 0.134 0.323 0.638
O5 O 0.134 0.406 0.323
O6 O 0.134 0.638 0.406
O7 O 0.317 0.061 0.061
O8 O 0.323 0.134 0.406
O9 O 0.323 0.406 0.638
O10 O 0.323 0.638 0.134
O11 O 0.362 0.594 0.866
O12 O 0.362 0.677 0.594
O13 O 0.362 0.866 0.677
O14 O 0.406 0.134 0.638
O15 O 0.406 0.323 0.134
O16 O 0.406 0.638 0.323
O17 O 0.594 0.362 0.677
O18 O 0.594 0.677 0.866
O19 O 0.594 0.866 0.362
O20 O 0.638 0.134 0.323
O21 O 0.638 0.323 0.406
O22 O 0.638 0.406 0.134
O23 O 0.677 0.362 0.866
O24 O 0.677 0.594 0.362
O25 O 0.677 0.866 0.594
O26 O 0.683 0.939 0.939
O27 O 0.866 0.362 0.594
O28 O 0.866 0.594 0.677
O29 O 0.866 0.677 0.362
O30 O 0.939 0.683 0.939
O31 O 0.939 0.939 0.683
O32 O 0.939 0.939 0.939
```

Top 10 peaks for 2θ from 5° to 70°, in order of falling intensity:
2θ 21.03, rel. 100.0
2θ 33.22, rel. 96.2
2θ 36.27, rel. 55.8
2θ 10.94, rel. 40.7
2θ 46.27, rel. 29.0
2θ 56.91, rel. 29.0
2θ 21.97, rel. 24.6
2θ 69.38, rel. 16.4
2θ 52.23, rel. 16.1
2θ 42.81, rel. 15.9


Cr3BO6: theoretical powder X-ray diffraction pattern (Cu Kα (weighted mean of Kα1 and Kα2)), based on a cell relaxed with GGA+U.
Peak positions follow from Bragg's law for the DFT cell and can differ from measured ones.

Cell and atoms:
```
data_Cr3BO6
_symmetry_space_group_name_H-M 'P 1'
_symmetry_Int_Tables_number 1
_cell_length_a 10.101
_cell_length_b 8.577
_cell_length_c 4.480
_cell_angle_alpha 90.00
_cell_angle_beta 90.00
_cell_angle_gamma 90.00
loop_
_symmetry_equiv_pos_as_xyz
'x,y,z'
loop_
_atom_site_label
_atom_site_type_symbol
_atom_site_fract_x
_atom_site_fract_y
_atom_site_fract_z
Cr1 Cr 0.093 0.250 0.026
Cr2 Cr 0.130 0.569 0.503
Cr3 Cr 0.130 0.931 0.503
Cr4 Cr 0.370 0.069 0.003
Cr5 Cr 0.370 0.431 0.003
Cr6 Cr 0.407 0.750 0.526
Cr7 Cr 0.593 0.250 0.474
Cr8 Cr 0.630 0.569 0.997
Cr9 Cr 0.630 0.931 0.997
Cr10 Cr 0.870 0.069 0.497
Cr11 Cr 0.870 0.431 0.497
Cr12 Cr 0.907 0.750 0.974
B1 B 0.223 0.750 0.081
B2 B 0.277 0.250 0.581
B3 B 0.723 0.750 0.419
B4 B 0.777 0.250 0.919
O1 O 0.031 0.079 0.265
O2 O 0.031 0.421 0.265
O3 O 0.085 0.750 0.217
O4 O 0.210 0.111 0.728
O5 O 0.210 0.389 0.728
O6 O 0.225 0.750 0.756
O7 O 0.275 0.250 0.256
O8 O 0.290 0.611 0.228
O9 O 0.290 0.889 0.228
O10 O 0.415 0.250 0.717
O11 O 0.469 0.579 0.765
O12 O 0.469 0.921 0.765
O13 O 0.531 0.079 0.235
O14 O 0.531 0.421 0.235
O15 O 0.585 0.750 0.283
O16 O 0.710 0.111 0.772
O17 O 0.710 0.389 0.772
O18 O 0.725 0.750 0.744
O19 O 0.775 0.250 0.244
O20 O 0.790 0.611 0.272
O21 O 0.790 0.889 0.272
O22 O 0.915 0.250 0.783
O23 O 0.969 0.579 0.735
O24 O 0.969 0.921 0.735
```

Top 10 peaks for 2θ from 5° to 70°, in order of falling intensity:
2θ 30.18, rel. 100.0
2θ 55.18, rel. 57.2
2θ 34.94, rel. 50.4
2θ 24.08, rel. 45.0
2θ 36.10, rel. 34.3
2θ 54.78, rel. 28.2
2θ 41.52, rel. 21.1
2θ 39.53, rel. 20.8
2θ 33.29, rel. 19.4
2θ 64.21, rel. 17.0


CrBPbO4: theoretical powder X-ray diffraction pattern (Cu Kα (weighted mean of Kα1 and Kα2)), based on a cell relaxed with GGA+U.
Peak positions follow from Bragg's law for the DFT cell and can differ from measured ones.

Cell and atoms:
```
data_CrBPbO4
_symmetry_space_group_name_H-M 'P 1'
_symmetry_Int_Tables_number 1
_cell_length_a 7.077
_cell_length_b 6.036
_cell_length_c 8.217
_cell_angle_alpha 90.00
_cell_angle_beta 90.00
_cell_angle_gamma 90.00
loop_
_symmetry_equiv_pos_as_xyz
'x,y,z'
loop_
_atom_site_label
_atom_site_type_symbol
_atom_site_fract_x
_atom_site_fract_y
_atom_site_fract_z
Cr1 Cr 0.000 0.000 0.000
Cr2 Cr 0.000 0.500 0.000
Cr3 Cr 0.500 0.000 0.500
Cr4 Cr 0.500 0.500 0.500
B1 B 0.223 0.250 0.265
B2 B 0.277 0.750 0.765
B3 B 0.723 0.250 0.235
B4 B 0.777 0.750 0.735
Pb1 Pb 0.064 0.750 0.364
Pb2 Pb 0.436 0.250 0.864
Pb3 Pb 0.564 0.750 0.136
Pb4 Pb 0.936 0.250 0.636
O1 O 0.104 0.250 0.880
O2 O 0.169 0.050 0.195
O3 O 0.169 0.450 0.195
O4 O 0.171 0.750 0.909
O5 O 0.329 0.250 0.409
O6 O 0.331 0.550 0.695
O7 O 0.331 0.950 0.695
O8 O 0.396 0.750 0.380
O9 O 0.604 0.250 0.620
O10 O 0.669 0.050 0.305
O11 O 0.669 0.450 0.305
O12 O 0.671 0.750 0.591
O13 O 0.829 0.250 0.091
O14 O 0.831 0.550 0.805
O15 O 0.831 0.950 0.805
O16 O 0.896 0.750 0.120
```

Top 10 peaks for 2θ from 5° to 70°, in order of falling intensity:
2θ 29.18, rel. 100.0
2θ 18.24, rel. 65.6
2θ 34.09, rel. 43.6
2θ 31.26, rel. 33.0
2θ 35.13, rel. 26.1
2θ 54.00, rel. 24.2
2θ 25.17, rel. 23.1
2θ 52.27, rel. 21.1
2θ 27.44, rel. 20.6
2θ 39.18, rel. 19.7